Theoretical powder X-ray diffraction pattern of HoLu2In3Pt2 for Cu Kα, 1.54184 Å, from a DFT-relaxed cell (GGA-PBE, OQMD).

The 10 most intense peaks (5° ≤ 2θ ≤ 70°), most intense first:
34.35 deg, I 100
37.00 deg, I 70
35.81 deg, I 47
13.35 deg, I 28
64.03 deg, I 25
35.90 deg, I 22
51.15 deg, I 16
56.24 deg, I 15
44.15 deg, I 13
40.88 deg, I 13

Structural model:
a = 3.5713 Å, b = 13.2812 Å, c = 7.6412 Å
α = 90.00°, β = 90.00°, γ = 90.00°
Element x y z (fractional)
Ho (0.0000, 0.0000, 0.0000)
Ho (0.0000, 0.5000, 0.5000)
Lu (0.0000, 0.2109, 0.3679)
Lu (0.0000, 0.2891, 0.8679)
Lu (0.0000, 0.7109, 0.8679)
Lu (0.0000, 0.7891, 0.3679)
In (0.5000, 0.0000, 0.3487)
In (0.5000, 0.1161, 0.6938)
In (0.5000, 0.3839, 0.1938)
In (0.5000, 0.5000, 0.8487)
In (0.5000, 0.6161, 0.1938)
In (0.5000, 0.8839, 0.6938)
Pt (0.5000, 0.1683, 0.0796)
Pt (0.5000, 0.3317, 0.5796)
Pt (0.5000, 0.6683, 0.5796)
Pt (0.5000, 0.8317, 0.0796)



Theoretical powder X-ray diffraction pattern of Rb2NdSnSb2 for Cu Kα, 1.54184 Å, from a DFT-relaxed cell (GGA-PBE, OQMD).

The 10 most intense peaks (5° ≤ 2θ ≤ 70°), most intense first:
25.40 deg, I 100
28.86 deg, I 85
39.08 deg, I 72
12.06 deg, I 60
23.09 deg, I 48
33.16 deg, I 47
43.39 deg, I 32
38.05 deg, I 24
47.18 deg, I 19
49.30 deg, I 19

Structural model:
a = 4.6104 Å, b = 4.6104 Å, c = 14.6750 Å
α = 90.00°, β = 90.00°, γ = 120.00°
Element x y z (fractional)
Rb (0.0000, 0.0000, 0.0000)
Rb (0.3333, 0.6667, 0.5403)
Nd (0.6667, 0.3333, 0.2735)
Sn (0.6667, 0.3333, 0.8053)
Sb (0.0000, 0.0000, 0.7117)
Sb (0.3333, 0.6667, 0.1749)



Theoretical powder X-ray diffraction pattern of Cu5Ag4 for Cu Kα, 1.54184 Å, from a DFT-relaxed cell (GGA-PBE, OQMD).

The 10 most intense peaks (5° ≤ 2θ ≤ 70°), most intense first:
40.05 deg, I 100
46.86 deg, I 57
41.00 deg, I 26
67.77 deg, I 19
69.10 deg, I 15
27.00 deg, I 5
13.41 deg, I 5
37.56 deg, I 2
56.80 deg, I 2
36.27 deg, I 2

Structural model:
a = 2.7654 Å, b = 2.7654 Å, c = 19.8134 Å
α = 90.00°, β = 90.00°, γ = 120.00°
Element x y z (fractional)
Cu (0.0000, 0.0000, 0.0000)
Cu (0.0000, 0.0000, 0.3236)
Cu (0.0000, 0.0000, 0.6492)
Cu (0.3333, 0.6667, 0.2253)
Cu (0.3333, 0.6667, 0.5510)
Ag (0.3333, 0.6667, 0.8882)
Ag (0.6667, 0.3333, 0.1121)
Ag (0.6667, 0.3333, 0.4372)
Ag (0.6667, 0.3333, 0.7619)